Structure and theoretical powder X-ray diffraction pattern of CaAsOs (a DFT-relaxed cell (PBE, Alexandria); copper Kα).
Neutral-atom scattering factors, no anomalous dispersion.

Peak list (8 most intense, 10 to 90 degrees two-theta, in order of rising 2θ)
| two_theta | d (Å) | intensity |
| --- | --- | --- |
| 20.1 | 4.417 | 65.5 |
| 24.8 | 3.588 | 40.3 |
| 32.1 | 2.785 | 100.0 |
| 40.9 | 2.209 | 20.6 |
| 43.7 | 2.071 | 51.0 |
| 48.5 | 1.875 | 40.5 |
| 55.3 | 1.662 | 21.3 |
| 61.4 | 1.511 | 36.9 |

Structure:
abc: 4.1425 4.1425 4.4175
angles: 90.00 90.00 120.00
Space group P-6m2 (No. 187)
Symmetry-distinct sites (fractional):
Ca (0.0000, 0.0000, 0.0000) x1
As (0.3333, 0.6667, 0.5000) x1
Os (0.6667, 0.3333, 0.5000) x1


Structure and theoretical powder X-ray diffraction pattern of LaScZn (a DFT-relaxed cell (PBE, Alexandria); copper Kα).
Neutral-atom scattering factors, no anomalous dispersion.

Peak list (8 most intense, 10 to 90 degrees two-theta, in order of rising 2θ)
| two_theta | d (Å) | intensity |
| --- | --- | --- |
| 18.0 | 4.923 | 31.1 |
| 27.4 | 3.259 | 32.6 |
| 30.5 | 2.933 | 30.7 |
| 31.6 | 2.833 | 29.9 |
| 32.7 | 2.735 | 100.0 |
| 34.3 | 2.614 | 99.3 |
| 36.5 | 2.464 | 60.7 |
| 37.5 | 2.400 | 41.7 |

Structure:
abc: 11.837 3.518 8.892
angles: 90.00 123.71 90.00
Space group Cm (No. 8)
Symmetry-distinct sites (fractional):
La (0.000, 0.000, 0.000) x2
La (0.086, 0.500, 0.718) x2
Sc (0.249, 0.500, 0.390) x2
Sc (0.320, 0.000, 0.140) x2
Zn (0.036, 0.000, 0.384) x2
Zn (0.289, 0.000, 0.671) x2


Structure and theoretical powder X-ray diffraction pattern of Be2CdBr (a DFT-relaxed cell (PBE, Alexandria); copper Kα).
Neutral-atom scattering factors, no anomalous dispersion.

Peak list (8 most intense, 10 to 90 degrees two-theta, in order of rising 2θ)
| two_theta | d (Å) | intensity |
| --- | --- | --- |
| 23.0 | 3.868 | 97.3 |
| 28.3 | 3.152 | 39.1 |
| 31.1 | 2.872 | 100.0 |
| 32.4 | 2.759 | 30.9 |
| 33.5 | 2.676 | 38.4 |
| 40.9 | 2.208 | 25.2 |
| 41.2 | 2.193 | 37.0 |
| 45.8 | 1.981 | 31.7 |

Structure:
abc: 3.198 3.093 7.850
angles: 90.00 99.79 90.00
Space group Pm (No. 6)
Symmetry-distinct sites (fractional):
Be (0.000, 0.000, 0.000) x1
Be (0.428, 0.500, 0.840) x1
Cd (0.580, 0.500, 0.194) x1
Br (0.344, 0.000, 0.639) x1


Structure and theoretical powder X-ray diffraction pattern of NaVHg2S4 (a DFT-relaxed cell (PBE, Alexandria); copper Kα).
Neutral-atom scattering factors, no anomalous dispersion.

Peak list (8 most intense, 10 to 90 degrees two-theta, in order of rising 2θ)
| two_theta | d (Å) | intensity |
| --- | --- | --- |
| 16.1 | 5.507 | 29.3 |
| 20.6 | 4.314 | 35.9 |
| 26.2 | 3.396 | 100.0 |
| 29.3 | 3.050 | 19.1 |
| 33.6 | 2.668 | 24.8 |
| 41.9 | 2.157 | 20.2 |
| 44.3 | 2.044 | 35.1 |
| 50.1 | 1.821 | 33.2 |

Structure:
abc: 6.101 6.101 11.014
angles: 90.00 90.00 90.00
Space group I-42m (No. 121)
Symmetry-distinct sites (fractional):
Na (0.000, 0.000, 0.000) x2
V (0.000, 0.000, 0.500) x2
Hg (0.000, 0.500, 0.250) x4
S (0.217, 0.217, 0.617) x8


Structure and theoretical powder X-ray diffraction pattern of BaZnSi6Pt2 (a DFT-relaxed cell (PBE, Alexandria); copper Kα).
Neutral-atom scattering factors, no anomalous dispersion.

Peak list (8 most intense, 10 to 90 degrees two-theta, in order of rising 2θ)
| two_theta | d (Å) | intensity |
| --- | --- | --- |
| 16.7 | 5.296 | 24.8 |
| 23.7 | 3.759 | 100.0 |
| 30.8 | 2.907 | 50.3 |
| 36.5 | 2.463 | 34.2 |
| 43.9 | 2.060 | 38.2 |
| 48.4 | 1.879 | 22.8 |
| 50.6 | 1.803 | 31.5 |
| 58.4 | 1.580 | 17.5 |

Structure:
abc: 4.9265 4.9265 31.7754
angles: 90.00 90.00 120.00
Space group R-3m (No. 166, hexagonal axes)
Symmetry-distinct sites (fractional):
Ba (0.0000, 0.0000, 0.0000) x3
Zn (0.0000, 0.0000, 0.5000) x3
Si (0.0050, 0.5025, 0.7682) x18
Pt (0.0000, 0.0000, 0.2594) x6


Structure and theoretical powder X-ray diffraction pattern of RbNpTl2Cl6 (a DFT-relaxed cell (PBE, Alexandria); copper Kα).
Neutral-atom scattering factors, no anomalous dispersion.

Peak list (8 most intense, 10 to 90 degrees two-theta, in order of rising 2θ)
| two_theta | d (Å) | intensity |
| --- | --- | --- |
| 15.5 | 5.714 | 34.7 |
| 21.6 | 4.120 | 92.5 |
| 22.4 | 3.965 | 100.0 |
| 25.9 | 3.434 | 25.8 |
| 31.3 | 2.857 | 49.2 |
| 34.6 | 2.596 | 67.9 |
| 38.9 | 2.318 | 49.5 |
| 39.4 | 2.289 | 44.2 |

Structure:
abc: 7.9293 7.9293 20.6021
angles: 90.00 90.00 120.00
Space group R3 (No. 146, hexagonal axes)
Symmetry-distinct sites (fractional):
Rb (0.0000, 0.0000, 0.0000) x3
Np (0.0000, 0.0000, 0.5096) x3
Tl (0.0000, 0.0000, 0.2080) x3
Tl (0.0000, 0.0000, 0.7151) x3
Cl (0.0079, 0.7375, 0.5961) x9
Cl (0.0658, 0.3532, 0.1060) x9